# LiBeN
Computed powder X-ray diffraction pattern, Cu Ka. Input: a crystal structure in Alexandria, relaxed with GGA-PBE.

Most intense lines, 2θ = 15–90°, low angle first:
hkl	d/Å	I_rel
0 0 1	5.155	21
2 0 0	3.262	100
2 0 -1	3.245	51
0 0 2	2.577	27
1 1 -1	2.541	39
3 1 -1	1.807	26
2 0 2	1.774	22
4 0 -1	1.714	18
1 1 -3	1.544	25
0 2 0	1.494	15

Crystal structure
Lattice parameters (Å, degrees): 6.857 2.988 5.418 90.00 107.95 90.00
Space group C2/m (No. 12)
Unique sites:
Li1 0.114 0.000 0.373 [4 per cell]
Be1 0.190 0.500 0.885 [4 per cell]
N1 0.211 0.000 0.776 [4 per cell]